Starting from the GGA-PBE geometry in Alexandria, the X-ray powder pattern of Rb6Ga was simulated for Cu Ka.

Structure:
```
Rb6Ga
1.0
-6.0875 6.0875 6.0875
6.0875 -6.0875 6.0875
6.0875 6.0875 -6.0875
Rb Ga
6 1
direct
0.2500 0.5000 0.7500 Rb
0.2500 0.7500 0.5000 Rb
0.5000 0.2500 0.7500 Rb
0.5000 0.7500 0.2500 Rb
0.7500 0.2500 0.5000 Rb
0.7500 0.5000 0.2500 Rb
0.0000 0.0000 0.0000 Ga
```

Top 6 peaks for 10° ≤ 2θ ≤ 90°, sorted by position:
| Position (°2θ) | I (rel.) |
| --- | --- |
| 14.6 | 40 |
| 17.8 | 100 |
| 25.3 | 47 |
| 27.4 | 71 |
| 29.3 | 43 |
| 42.0 | 32 |